[1]
AsPt3: computed powder diffraction line list (Cu Kα (weighted mean of Kα1 and Kα2)), based on a PBE-relaxed structure.
No peak broadening, texture or thermal motion is included.

Structure:
Cell lengths 5.5870, 5.5870, 4.7709 Å; angles 90.00, 90.00, 120.00 degrees
Atoms (fractional coordinates):
As: 0.3333 0.6667 0.2500
As: 0.6667 0.3333 0.7500
Pt: 0.1665 0.3329 0.7500
Pt: 0.1665 0.8335 0.7500
Pt: 0.3329 0.1665 0.2500
Pt: 0.6671 0.8335 0.7500
Pt: 0.8335 0.1665 0.2500
Pt: 0.8335 0.6671 0.2500

Most intense lines, 10 to 90 degrees two-theta, in order of rising 2θ:
d [Å]	2theta	intensity	(hkl)
3.397	26.2	10	1 0 1
2.794	32.0	4	1 1 0
2.419	37.2	23	2 0 0
2.385	37.7	30	0 0 2
2.158	41.9	100	2 0 1
1.699	54.0	16	2 0 2
1.397	67.0	17	2 2 0
1.329	70.9	21	2 0 3
1.205	79.5	21	2 2 2
1.173	82.2	15	4 0 1

***

[2]
AsPt3: computed powder diffraction line list (Cu Kα (weighted mean of Kα1 and Kα2)), based on a PBE-relaxed structure.
No peak broadening, texture or thermal motion is included.

Structure:
Cell lengths 4.0138, 4.0138, 4.0138 Å; angles 90.00, 90.00, 90.00 degrees
Atoms (fractional coordinates):
As: 0.0000 0.0000 0.0000
Pt: 0.0000 0.5000 0.5000
Pt: 0.5000 0.0000 0.5000
Pt: 0.5000 0.5000 0.0000

Most intense lines, 10 to 90 degrees two-theta, in order of rising 2θ:
d [Å]	2theta	intensity	(hkl)
4.014	22.1	9	1 0 0
2.838	31.5	8	1 1 0
2.317	38.9	100	1 1 1
2.007	45.2	49	2 0 0
1.795	50.9	4	2 1 0
1.639	56.1	3	2 1 1
1.419	65.8	32	2 2 0
1.338	70.4	2	3 0 0
1.210	79.1	39	3 1 1
1.159	83.4	11	2 2 2